Structure and computed powder diffractogram of LiZr2As3 (the GGA-PBE geometry in Alexandria; Cu Ka).
Neutral-atom scattering factors, no anomalous dispersion.

Crystal structure
Lattice parameters (Å, degrees): 7.768 10.948 23.168 90.00 90.00 90.00
Space group Fddd (No. 70, origin choice 2)
Inequivalent atoms, fractional coordinates:
Li: 0.125 0.125 0.042 [16 per cell]
Zr: 0.125 0.125 0.374 [16 per cell]
Zr: 0.125 0.125 0.542 [16 per cell]
As: 0.123 0.375 0.375 [16 per cell]
As: 0.125 0.375 0.042 [32 per cell]

Top 8 peaks for 2θ from 10° to 90°, in order of rising 2θ:
- (1 1 1), 14.49 deg, I = 15
- (2 0 6), 32.71 deg, I = 100
- (4 0 0), 46.78 deg, I = 12
- (2 4 6), 46.94 deg, I = 48
- (0 0 12), 47.07 deg, I = 12
- (4 4 0), 58.25 deg, I = 12
- (0 4 12), 58.50 deg, I = 12
- (2 4 18), 87.39 deg, I = 12



Structure and computed powder diffractogram of Pm4Bi2Ir (the GGA-PBE geometry in Alexandria; Cu Ka).
Neutral-atom scattering factors, no anomalous dispersion.

Crystal structure
Lattice parameters (Å, degrees): 8.019 4.277 8.448 90.00 117.31 90.00
Space group P2/m (No. 10)
Inequivalent atoms, fractional coordinates:
Pm: 0.197 0.000 0.436 [2 per cell]
Pm: 0.282 0.500 0.852 [2 per cell]
Bi: 0.414 0.000 0.191 [2 per cell]
Ir: 0.000 0.500 0.500 [1 per cell]

Top 8 peaks for 2θ from 10° to 90°, in order of rising 2θ:
- (1 0 -1), 12.61 deg, I = 56
- (1 0 1), 20.76 deg, I = 42
- (1 1 -1), 24.34 deg, I = 82
- (1 1 1), 29.53 deg, I = 32
- (1 0 2), 31.64 deg, I = 40
- (2 1 -2), 33.01 deg, I = 100
- (1 1 -3), 38.47 deg, I = 34
- (2 1 1), 38.79 deg, I = 54



Structure and computed powder diffractogram of Be2SnP2 (the GGA-PBE geometry in Alexandria; Cu Ka).
Neutral-atom scattering factors, no anomalous dispersion.

Crystal structure
Lattice parameters (Å, degrees): 3.539 3.539 12.803 90.00 90.00 90.00
Space group I4/mmm (No. 139)
Inequivalent atoms, fractional coordinates:
Be: 0.000 0.500 0.250 [4 per cell]
Sn: 0.000 0.000 0.000 [2 per cell]
P: 0.000 0.000 0.353 [4 per cell]

Top 8 peaks for 2θ from 10° to 90°, in order of rising 2θ:
- (0 0 2), 13.83 deg, I = 44
- (1 0 1), 26.12 deg, I = 38
- (1 0 3), 32.88 deg, I = 100
- (1 1 0), 35.88 deg, I = 36
- (1 1 2), 38.63 deg, I = 28
- (1 0 5), 43.63 deg, I = 23
- (1 1 6), 56.68 deg, I = 24
- (2 1 3), 62.59 deg, I = 31



Structure and computed powder diffractogram of La3Ho8Er4 (the GGA-PBE geometry in Alexandria; Cu Ka).
Neutral-atom scattering factors, no anomalous dispersion.

Crystal structure
Lattice parameters (Å, degrees): 13.413 12.852 6.733 90.00 120.12 90.00
Space group C2/m (No. 12)
Inequivalent atoms, fractional coordinates:
La: 0.000 0.000 0.000 [2 per cell]
La: 0.250 0.250 0.500 [4 per cell]
Ho: 0.000 0.255 0.000 [4 per cell]
Ho: 0.000 0.364 0.500 [4 per cell]
Ho: 0.230 0.500 0.491 [4 per cell]
Ho: 0.233 0.500 0.976 [4 per cell]
Er: 0.000 0.000 0.500 [2 per cell]
Er: 0.000 0.500 0.000 [2 per cell]
Er: 0.250 0.250 0.000 [4 per cell]

Top 8 peaks for 2θ from 10° to 90°, in order of rising 2θ:
- (0 4 0), 27.77 deg, I = 35
- (0 0 2), 30.71 deg, I = 100
- (4 0 0), 30.83 deg, I = 47
- (0 4 1), 31.82 deg, I = 29
- (4 4 -1), 38.79 deg, I = 18
- (0 4 2), 41.90 deg, I = 67
- (4 0 2), 54.75 deg, I = 18
- (0 8 2), 66.49 deg, I = 31



Structure and computed powder diffractogram of Tb4Pr3Nd4 (the GGA-PBE geometry in Alexandria; Cu Ka).
Neutral-atom scattering factors, no anomalous dispersion.

Crystal structure
Lattice parameters (Å, degrees): 10.875 5.812 12.171 90.00 90.00 90.00
Space group Amm2 (No. 38)
Inequivalent atoms, fractional coordinates:
Tb: 0.000 0.000 0.000 [2 per cell]
Tb: 0.197 0.000 0.493 [4 per cell]
Tb: 0.500 0.000 0.943 [2 per cell]
Pr: 0.208 0.000 0.798 [4 per cell]
Pr: 0.500 0.000 0.642 [2 per cell]
Nd: 0.000 0.000 0.272 [2 per cell]
Nd: 0.288 0.000 0.140 [4 per cell]
Nd: 0.500 0.000 0.347 [2 per cell]

Top 8 peaks for 2θ from 10° to 90°, in order of rising 2θ:
- (3 1 1), 29.96 deg, I = 31
- (1 0 4), 30.51 deg, I = 16
- (0 2 0), 30.77 deg, I = 38
- (2 1 3), 31.53 deg, I = 100
- (4 0 0), 32.95 deg, I = 15
- (2 3 3), 55.19 deg, I = 29
- (3 1 7), 61.24 deg, I = 14
- (5 2 4), 61.34 deg, I = 13



Structure and computed powder diffractogram of SrLiPu2N4 (the GGA-PBE geometry in Alexandria; Cu Ka).
Neutral-atom scattering factors, no anomalous dispersion.

Crystal structure
Lattice parameters (Å, degrees): 3.528 11.391 11.277 90.00 90.00 90.00
Space group Cmcm (No. 63)
Inequivalent atoms, fractional coordinates:
Sr: 0.000 0.100 0.250 [4 per cell]
Li: 0.000 0.169 0.750 [4 per cell]
Pu: 0.000 0.368 0.059 [8 per cell]
N: 0.000 0.000 0.000 [4 per cell]
N: 0.000 0.256 0.600 [8 per cell]
N: 0.000 0.424 0.250 [4 per cell]

Top 8 peaks for 2θ from 10° to 90°, in order of rising 2θ:
- (0 0 2), 15.72 deg, I = 57
- (1 1 0), 26.45 deg, I = 30
- (0 2 3), 28.45 deg, I = 100
- (1 1 2), 30.91 deg, I = 55
- (0 4 0), 31.41 deg, I = 41
- (1 3 0), 34.71 deg, I = 32
- (1 3 2), 38.31 deg, I = 40
- (1 1 5), 48.57 deg, I = 31



Structure and computed powder diffractogram of K2UCuSe4 (the GGA-PBE geometry in Alexandria; Cu Ka).
Neutral-atom scattering factors, no anomalous dispersion.

Crystal structure
Lattice parameters (Å, degrees): 7.608 7.608 8.779 90.00 90.00 90.00
Space group I-4 (No. 82)
Inequivalent atoms, fractional coordinates:
K: 0.000 0.000 0.000 [2 per cell]
K: 0.000 0.500 0.250 [2 per cell]
U: 0.000 0.000 0.500 [2 per cell]
Cu: 0.000 0.500 0.750 [2 per cell]
Se: 0.175 0.257 0.641 [8 per cell]

Top 8 peaks for 2θ from 10° to 90°, in order of rising 2θ:
- (1 0 1), 15.41 deg, I = 89
- (1 1 2), 26.20 deg, I = 100
- (1 2 1), 28.13 deg, I = 28
- (2 2 0), 33.31 deg, I = 38
- (2 1 3), 40.67 deg, I = 24
- (3 1 2), 42.87 deg, I = 40
- (2 3 1), 44.14 deg, I = 27
- (2 0 4), 47.84 deg, I = 42



Structure and computed powder diffractogram of Tl2BPt6 (the GGA-PBE geometry in Alexandria; Cu Ka).
Neutral-atom scattering factors, no anomalous dispersion.

Crystal structure
Lattice parameters (Å, degrees): 5.8283 5.8283 10.0638 90.00 90.00 120.00
Space group P6_3mc (No. 186)
Inequivalent atoms, fractional coordinates:
Tl: 0.0000 0.0000 0.0000 [2 per cell]
Tl: 0.3333 0.6667 0.2347 [2 per cell]
B: 0.3333 0.6667 0.6146 [2 per cell]
Pt: 0.0035 0.5018 0.9843 [6 per cell]
Pt: 0.1665 0.3330 0.7464 [6 per cell]

Top 8 peaks for 2θ from 10° to 90°, in order of rising 2θ:
- (0 0 4), 35.69 deg, I = 39
- (2 0 1), 36.71 deg, I = 41
- (2 0 2), 39.97 deg, I = 100
- (2 0 3), 44.95 deg, I = 24
- (2 2 0), 63.89 deg, I = 23
- (2 0 6), 66.99 deg, I = 21
- (2 2 4), 75.38 deg, I = 28
- (4 0 2), 78.08 deg, I = 15



Structure and computed powder diffractogram of AcTb3PmDy (the GGA-PBE geometry in Alexandria; Cu Ka).
Neutral-atom scattering factors, no anomalous dispersion.

Crystal structure
Lattice parameters (Å, degrees): 20.358 5.715 7.282 90.00 90.08 90.00
Space group C2/m (No. 12)
Inequivalent atoms, fractional coordinates:
Ac: 0.143 0.000 0.475 [4 per cell]
Tb: 0.021 0.000 0.780 [4 per cell]
Tb: 0.168 0.500 0.779 [4 per cell]
Tb: 0.219 0.500 0.254 [4 per cell]
Pm: 0.056 0.500 0.206 [4 per cell]
Dy: 0.152 0.000 0.032 [4 per cell]

Top 8 peaks for 2θ from 10° to 90°, in order of rising 2θ:
- (1 1 -2), 29.42 deg, I = 25
- (5 1 1), 29.60 deg, I = 80
- (4 0 2), 30.19 deg, I = 35
- (0 2 0), 31.30 deg, I = 63
- (3 1 -2), 31.99 deg, I = 100
- (7 1 0), 34.61 deg, I = 43
- (4 2 2), 44.04 deg, I = 25
- (0 0 4), 50.10 deg, I = 21



Structure and computed powder diffractogram of Y3Ge6Pt20 (the GGA-PBE geometry in Alexandria; Cu Ka).
Neutral-atom scattering factors, no anomalous dispersion.

Crystal structure
Lattice parameters (Å, degrees): 12.579 12.579 12.579 90.00 90.00 90.00
Space group Fm-3m (No. 225)
Inequivalent atoms, fractional coordinates:
Y: 0.000 0.000 0.000 [4 per cell]
Y: 0.250 0.250 0.250 [8 per cell]
Ge: 0.000 0.000 0.269 [24 per cell]
Pt: 0.000 0.174 0.174 [48 per cell]
Pt: 0.119 0.119 0.381 [32 per cell]

Top 8 peaks for 2θ from 10° to 90°, in order of rising 2θ:
- (3 3 3), 37.14 deg, I = 100
- (4 4 0), 40.57 deg, I = 27
- (5 3 1), 42.52 deg, I = 42
- (6 0 0), 43.15 deg, I = 19
- (6 2 2), 47.97 deg, I = 13
- (6 6 0), 62.67 deg, I = 20
- (5 5 5), 64.11 deg, I = 14
- (8 4 4), 73.81 deg, I = 20



Structure and computed powder diffractogram of Er3Ga2Cu6 (the GGA-PBE geometry in Alexandria; Cu Ka).
Neutral-atom scattering factors, no anomalous dispersion.

Crystal structure
Lattice parameters (Å, degrees): 9.049 9.049 9.049 90.00 90.00 90.00
Space group Im-3m (No. 229)
Inequivalent atoms, fractional coordinates:
Er: 0.000 0.000 0.277 [12 per cell]
Ga: 0.250 0.250 0.250 [8 per cell]
Cu: 0.000 0.337 0.337 [24 per cell]

Top 8 peaks for 2θ from 10° to 90°, in order of rising 2θ:
- (3 1 0), 31.26 deg, I = 33
- (2 2 2), 34.33 deg, I = 53
- (3 2 1), 37.18 deg, I = 39
- (4 0 0), 39.85 deg, I = 33
- (3 3 0), 42.38 deg, I = 100
- (5 3 2), 63.36 deg, I = 22
- (6 2 2), 68.82 deg, I = 31
- (6 3 3), 77.52 deg, I = 18



Structure and computed powder diffractogram of NbNi2MoSe (the GGA-PBE geometry in Alexandria; Cu Ka).
Neutral-atom scattering factors, no anomalous dispersion.

Crystal structure
Lattice parameters (Å, degrees): 4.554 4.554 4.753 90.00 90.00 90.00
Space group P4/mmm (No. 123)
Inequivalent atoms, fractional coordinates:
Nb: 0.000 0.000 0.000 [1 per cell]
Ni: 0.000 0.500 0.500 [2 per cell]
Mo: 0.000 0.000 0.500 [1 per cell]
Se: 0.500 0.500 0.000 [1 per cell]

Top 8 peaks for 2θ from 10° to 90°, in order of rising 2θ:
- (1 0 0), 19.49 deg, I = 51
- (1 1 0), 27.70 deg, I = 33
- (1 1 1), 33.62 deg, I = 84
- (0 0 2), 37.86 deg, I = 57
- (2 0 0), 39.58 deg, I = 100
- (2 0 2), 55.93 deg, I = 70
- (2 2 0), 57.21 deg, I = 33
- (2 2 2), 70.67 deg, I = 34